# Li3Fe3Sn2O10
Computed X-ray powder pattern, Cu Kα, 1.54184 Å. Input: the GGA+U geometry in Alexandria.
Lines closer than 0.1° are merged.

Most intense lines, 10° ≤ 2θ ≤ 80°, by intensity:
2theta  Rel. int.  index
17.9  100.0  1 0 0
17.5  45.3  0 1 0
38.1  42.8  1 1 -2
43.3  35.1  -1 2 1
42.9  33.9  2 1 3
21.8  29.7  1 1 1
26.2  26.3  1 0 2
36.2  25.1  2 0 0
29.6  22.2  -1 1 1
34.7  17.2  0 2 1

Crystal structure
a b c (Å): 5.2215 5.3435 8.1504
angles (deg): 74.31 74.73 76.74
Element x y z (fractional)
1 Li 0.0000 0.0000 0.0000
2 Li 0.4658 0.6990 0.1152
3 Li 0.5342 0.3010 0.8848
4 Fe 0.0350 0.1901 0.6018
5 Fe 0.5000 0.5000 0.5000
6 Fe 0.9650 0.8099 0.3982
7 Sn 0.0101 0.3789 0.1970
8 Sn 0.9899 0.6211 0.8030
9 O 0.1774 0.0018 0.1804
10 O 0.2112 0.8214 0.5587
11 O 0.2282 0.4506 0.3685
12 O 0.2281 0.6005 0.9809
13 O 0.2713 0.3023 0.7180
14 O 0.7287 0.6977 0.2820
15 O 0.7719 0.3995 0.0191
16 O 0.7718 0.5494 0.6315
17 O 0.7888 0.1786 0.4413
18 O 0.8226 0.9982 0.8196